Structure and simulated XRD peak list of Dy4Zn3Ga16 (a crystal structure in Alexandria, relaxed with PBE; Cu Kα, 1.54184 Å).

Most intense lines, 2θ from 15° to 90°, sorted by position:
2θ = 20.07°, intensity 17
2θ = 31.18°, intensity 33
2θ = 32.72°, intensity 38
2θ = 37.36°, intensity 100
2θ = 39.87°, intensity 20
2θ = 40.80°, intensity 68
2θ = 43.14°, intensity 16
2θ = 58.36°, intensity 23
2θ = 59.07°, intensity 21
2θ = 72.01°, intensity 24

Cell and atoms:
abc: 6.2558 6.2558 11.3065
angles: 90.00 90.00 90.00
Sites, in units of the cell vectors:
1 Dy 0.0000 0.5000 0.1878
2 Dy 0.0000 0.5000 0.8122
3 Dy 0.5000 0.0000 0.1878
4 Dy 0.5000 0.0000 0.8122
5 Zn 0.0000 0.0000 0.0000
6 Zn 0.0000 0.5000 0.5000
7 Zn 0.5000 0.0000 0.5000
8 Ga 0.0000 0.0000 0.2375
9 Ga 0.0000 0.0000 0.7625
10 Ga 0.2583 0.2583 0.3761
11 Ga 0.2583 0.2583 0.6239
12 Ga 0.2583 0.7417 0.3761
13 Ga 0.2583 0.7417 0.6239
14 Ga 0.2903 0.2903 0.0000
15 Ga 0.2903 0.7097 0.0000
16 Ga 0.5000 0.5000 0.1963
17 Ga 0.5000 0.5000 0.8037
18 Ga 0.7097 0.2903 0.0000
19 Ga 0.7097 0.7097 0.0000
20 Ga 0.7417 0.2583 0.3761
21 Ga 0.7417 0.2583 0.6239
22 Ga 0.7417 0.7417 0.3761
23 Ga 0.7417 0.7417 0.6239


Structure and simulated XRD peak list of K4NaF6 (a crystal structure in Alexandria, relaxed with PBE; Cu Kα, 1.54184 Å).

Most intense lines, 2θ from 15° to 90°, sorted by position:
2θ = 26.83°, intensity 46
2θ = 30.15°, intensity 69
2θ = 34.03°, intensity 31
2θ = 37.09°, intensity 44
2θ = 38.41°, intensity 52
2θ = 40.79°, intensity 100
2θ = 41.42°, intensity 25
2θ = 52.89°, intensity 28
2θ = 62.68°, intensity 17
2θ = 81.23°, intensity 15

Cell and atoms:
abc: 7.3594 7.3594 7.3594
angles: 88.49 88.49 88.49
Sites, in units of the cell vectors:
1 K 0.1202 0.7500 0.3798
2 K 0.2500 0.2500 0.2500
3 K 0.2500 0.6202 0.8798
4 K 0.3798 0.1202 0.7500
5 K 0.6202 0.8798 0.2500
6 K 0.7500 0.3798 0.1202
7 K 0.7500 0.7500 0.7500
8 K 0.8798 0.2500 0.6202
9 Na 0.0000 0.0000 0.0000
10 Na 0.5000 0.5000 0.5000
11 F 0.0640 0.9135 0.7058
12 F 0.0865 0.2942 0.9360
13 F 0.2058 0.4135 0.5640
14 F 0.2942 0.9360 0.0865
15 F 0.4135 0.5640 0.2058
16 F 0.4360 0.7942 0.5865
17 F 0.5640 0.2058 0.4135
18 F 0.5865 0.4360 0.7942
19 F 0.7058 0.0640 0.9135
20 F 0.7942 0.5865 0.4360
21 F 0.9135 0.7058 0.0640
22 F 0.9360 0.0865 0.2942


Structure and simulated XRD peak list of Pr4Ho3Er4 (a crystal structure in Alexandria, relaxed with PBE; Cu Kα, 1.54184 Å).

Most intense lines, 2θ from 15° to 90°, sorted by position:
2θ = 31.01°, intensity 84
2θ = 31.22°, intensity 100
2θ = 31.52°, intensity 53
2θ = 32.81°, intensity 28
2θ = 35.18°, intensity 17
2θ = 38.91°, intensity 21
2θ = 42.88°, intensity 26
2θ = 57.40°, intensity 21
2θ = 57.71°, intensity 29
2θ = 60.58°, intensity 18

Cell and atoms:
abc: 12.0274 12.0274 12.0274
angles: 162.77 133.85 49.62
Sites, in units of the cell vectors:
1 Pr 0.0339 0.8551 0.1787
2 Pr 0.3236 0.1449 0.1787
3 Pr 0.6764 0.8551 0.8213
4 Pr 0.9661 0.1449 0.8213
5 Ho 0.0000 0.5000 0.5000
6 Ho 0.3935 0.3935 0.0000
7 Ho 0.6065 0.6065 0.0000
8 Er 0.2612 0.7612 0.5000
9 Er 0.3179 0.0000 0.3179
10 Er 0.6821 0.0000 0.6821
11 Er 0.7388 0.2388 0.5000


Structure and simulated XRD peak list of LiCuC2O5 (a crystal structure in Alexandria, relaxed with PBE; Cu Kα, 1.54184 Å).

Most intense lines, 2θ from 15° to 90°, sorted by position:
2θ = 16.85°, intensity 37
2θ = 19.48°, intensity 35
2θ = 19.92°, intensity 21
2θ = 20.45°, intensity 22
2θ = 20.72°, intensity 21
2θ = 24.24°, intensity 58
2θ = 26.61°, intensity 100
2θ = 26.82°, intensity 24
2θ = 40.42°, intensity 17
2θ = 44.13°, intensity 16

Cell and atoms:
abc: 7.3480 7.3480 9.8646
angles: 110.18 110.18 91.48
Sites, in units of the cell vectors:
1 Li 0.0773 0.2881 0.1073
2 Li 0.2881 0.0773 0.6073
3 Li 0.7119 0.9227 0.3927
4 Li 0.9227 0.7119 0.8927
5 Cu 0.0346 0.9654 0.2500
6 Cu 0.4626 0.5374 0.7500
7 Cu 0.5374 0.4626 0.2500
8 Cu 0.9654 0.0346 0.7500
9 C 0.1413 0.6640 0.3625
10 C 0.2063 0.3812 0.4457
11 C 0.3360 0.8587 0.1375
12 C 0.3812 0.2063 0.9457
13 C 0.6188 0.7937 0.0543
14 C 0.6640 0.1413 0.8625
15 C 0.7937 0.6188 0.5543
16 C 0.8587 0.3360 0.6375
17 O 0.0945 0.5623 0.2227
18 O 0.1200 0.2557 0.3106
19 O 0.1358 0.8443 0.4267
20 O 0.1557 0.8642 0.0733
21 O 0.2186 0.5801 0.4795
22 O 0.2557 0.1200 0.8106
23 O 0.2891 0.3406 0.5679
24 O 0.3406 0.2891 0.0679
25 O 0.4199 0.7814 0.0205
26 O 0.4377 0.9055 0.2773
27 O 0.5623 0.0945 0.7227
28 O 0.5801 0.2186 0.9795
29 O 0.6594 0.7109 0.9321
30 O 0.7109 0.6594 0.4321
31 O 0.7443 0.8800 0.1894
32 O 0.7814 0.4199 0.5205
33 O 0.8443 0.1358 0.9267
34 O 0.8642 0.1557 0.5733
35 O 0.8800 0.7443 0.6894
36 O 0.9055 0.4377 0.7773


Structure and simulated XRD peak list of Cs4TlHg2Bi2 (a crystal structure in Alexandria, relaxed with PBE; Cu Kα, 1.54184 Å).

Most intense lines, 2θ from 15° to 90°, sorted by position:
2θ = 23.63°, intensity 88
2θ = 23.75°, intensity 100
2θ = 26.75°, intensity 62
2θ = 27.85°, intensity 81
2θ = 28.17°, intensity 77
2θ = 31.10°, intensity 47
2θ = 32.38°, intensity 73
2θ = 33.40°, intensity 66
2θ = 45.93°, intensity 50
2θ = 47.21°, intensity 51

Cell and atoms:
abc: 10.3921 10.3921 5.5306
angles: 104.61 104.61 62.16
Sites, in units of the cell vectors:
1 Cs 0.1065 0.6227 0.8582
2 Cs 0.3773 0.8935 0.1418
3 Cs 0.6227 0.1065 0.8582
4 Cs 0.8935 0.3773 0.1418
5 Tl 0.5000 0.5000 0.5000
6 Hg 0.2045 0.2045 0.7070
7 Hg 0.7955 0.7955 0.2930
8 Bi 0.3204 0.3204 0.3169
9 Bi 0.6796 0.6796 0.6831